MnPd6Au12: computed XRD peak list (CuKα), based on a GGA-PBE-relaxed structure.
Kinematic intensities with the Lorentz-polarization factor, no thermal factor.

Structure:
```
data_MnPd6Au12
_symmetry_space_group_name_H-M 'R -3'
_symmetry_Int_Tables_number 148
_symmetry_space_group_name_Hall '-R 3'
_cell_length_a 9.8136
_cell_length_b 9.8136
_cell_length_c 11.9377
_cell_angle_alpha 90.00
_cell_angle_beta 90.00
_cell_angle_gamma 120.00
loop_
_atom_site_label
_atom_site_fract_x
_atom_site_fract_y
_atom_site_fract_z
Mn1 0.0000 0.0000 0.0000
Pd1 0.0345 0.5906 0.7060
Au1 0.0368 0.8522 0.8105
Au2 0.0649 0.2200 0.4134
```

Principal peaks in the range 2θ = 5–70°, by intensity:
2theta, I_rel, (hkl)
38.98, 100, 0 3 3
41.29, 45, 2 1 4
39.19, 34, 0 1 5
41.17, 33, 4 -1 2
31.60, 21, 3 0 0
28.78, 17, 3 -1 1
69.26, 12, 1 4 6
43.31, 11, 4 -2 3